[1]
Theoretical X-ray diffraction stick pattern
Compound: BiRuSe
Radiation: copper Kα
Structure: a PBE-relaxed structure

Main lines, sorted by position (10 to 80 degrees two-theta):
2θ 22.0, 4.036 Å, rel. 40
2θ 31.2, 2.868 Å, rel. 75
2θ 31.5, 2.840 Å, rel. 100
2θ 38.5, 2.338 Å, rel. 60
2θ 44.9, 2.018 Å, rel. 70
2θ 50.3, 1.812 Å, rel. 27
2θ 55.7, 1.651 Å, rel. 26
2θ 56.3, 1.634 Å, rel. 20
2θ 65.8, 1.420 Å, rel. 23
2θ 78.5, 1.218 Å, rel. 21

```
BiRuSe
1.0
5.7369 0.0000 0.0000
-2.8685 4.9683 0.0000
0.0000 0.0000 6.9228
Bi Ru Se
3 3 3
Direct
0.0000 0.6652 0.3333
0.3348 0.3348 0.0000
0.6652 0.0000 0.6667
0.0000 0.1700 0.3333
0.1700 0.0000 0.6667
0.8300 0.8300 0.0000
0.0000 0.5712 0.8333
0.4288 0.4288 0.5000
0.5712 0.0000 0.1667
```



[2]
Theoretical X-ray diffraction stick pattern
Compound: Sm7Bi2Ru2
Radiation: copper Kα
Structure: a PBE-relaxed structure

Main lines, sorted by position (10 to 80 degrees two-theta):
2θ 20.4, 4.354 Å, rel. 26
2θ 23.5, 3.783 Å, rel. 45
2θ 27.4, 3.258 Å, rel. 33
2θ 29.2, 3.054 Å, rel. 24
2θ 33.3, 2.688 Å, rel. 49
2θ 35.8, 2.508 Å, rel. 100
2θ 36.3, 2.474 Å, rel. 27
2θ 41.0, 2.199 Å, rel. 22
2θ 41.2, 2.191 Å, rel. 18
2θ 61.2, 1.515 Å, rel. 19

```
Sm7Bi2Ru2
1.0
4.3977 -5.3767 0.0000
4.3977 5.3767 0.0000
0.0000 0.0000 7.4199
Sm Bi Ru
7 2 2
Direct
0.0000 0.0000 0.0000
0.0000 0.5000 0.2385
0.0000 0.5000 0.7615
0.5000 0.0000 0.2385
0.5000 0.0000 0.7615
0.5000 0.5000 0.2252
0.5000 0.5000 0.7748
0.2042 0.2042 0.5000
0.7958 0.7958 0.5000
0.2780 0.7220 0.0000
0.7220 0.2780 0.0000
```



[3]
Theoretical X-ray diffraction stick pattern
Compound: Tb12Bi6Ru
Radiation: copper Kα
Structure: a PBE-relaxed structure

Main lines, sorted by position (10 to 80 degrees two-theta):
2θ 21.7, 4.101 Å, rel. 89
2θ 26.8, 3.325 Å, rel. 23
2θ 28.9, 3.091 Å, rel. 34
2θ 30.1, 2.968 Å, rel. 50
2θ 31.6, 2.834 Å, rel. 100
2θ 31.9, 2.801 Å, rel. 27
2θ 35.8, 2.511 Å, rel. 91
2θ 37.0, 2.427 Å, rel. 64
2θ 42.2, 2.142 Å, rel. 35
2θ 60.7, 1.525 Å, rel. 23

```
Tb12Bi6Ru
1.0
6.6491 3.8388 4.0960
-6.6491 3.8388 4.0960
0.0000 -7.6777 4.0960
Tb Bi Ru
12 6 1
Direct
0.0034 0.9413 0.6900
0.0587 0.3100 0.9966
0.2005 0.5420 0.4136
0.3100 0.9966 0.0587
0.4136 0.2005 0.5420
0.4580 0.5864 0.7995
0.5420 0.4136 0.2005
0.5864 0.7995 0.4580
0.6900 0.0034 0.9413
0.7995 0.4580 0.5864
0.9413 0.6900 0.0034
0.9966 0.0587 0.3100
0.1176 0.3174 0.6503
0.3174 0.6503 0.1176
0.3497 0.8824 0.6826
0.6503 0.1176 0.3174
0.6826 0.3497 0.8824
0.8824 0.6826 0.3497
0.0000 0.0000 0.0000
```



[4]
Theoretical X-ray diffraction stick pattern
Compound: Th5Bi4Ru
Radiation: copper Kα
Structure: a PBE-relaxed structure

Main lines, sorted by position (10 to 80 degrees two-theta):
2θ 27.6, 3.232 Å, rel. 59
2θ 28.1, 3.179 Å, rel. 100
2θ 35.1, 2.560 Å, rel. 17
2θ 39.8, 2.266 Å, rel. 81
2θ 40.1, 2.248 Å, rel. 32
2θ 49.4, 1.845 Å, rel. 35
2θ 64.7, 1.441 Å, rel. 20
2θ 65.4, 1.426 Å, rel. 13
2θ 72.0, 1.312 Å, rel. 18
2θ 72.7, 1.301 Å, rel. 13

```
Th5Bi4Ru
1.0
-5.0259 5.0259 3.2320
5.0259 -5.0259 3.2320
5.0259 5.0259 -3.2320
Th Bi Ru
5 4 1
Direct
0.0000 0.0000 0.0000
0.2405 0.5947 0.8353
0.4053 0.2405 0.6458
0.5947 0.7595 0.3542
0.7595 0.4053 0.1647
0.0836 0.3114 0.3950
0.3114 0.9164 0.2279
0.6886 0.0836 0.7721
0.9164 0.6886 0.6050
0.5000 0.5000 0.0000
```



[5]
Theoretical X-ray diffraction stick pattern
Compound: Th5Bi2Ru
Radiation: copper Kα
Structure: a PBE-relaxed structure

Main lines, sorted by position (10 to 80 degrees two-theta):
2θ 29.8, 2.997 Å, rel. 100
2θ 30.1, 2.972 Å, rel. 80
2θ 30.7, 2.912 Å, rel. 88
2θ 32.3, 2.775 Å, rel. 46
2θ 32.9, 2.723 Å, rel. 22
2θ 34.4, 2.609 Å, rel. 19
2θ 35.1, 2.553 Å, rel. 20
2θ 39.5, 2.283 Å, rel. 36
2θ 50.4, 1.810 Å, rel. 25
2θ 59.3, 1.559 Å, rel. 16

```
Th5Bi2Ru
1.0
12.7148 0.0000 0.0000
0.0000 9.1304 0.0000
0.0000 0.0000 8.3646
Th Bi Ru
20 8 4
Direct
0.0027 0.2500 0.0292
0.0599 0.0371 0.6951
0.0599 0.4629 0.6951
0.1958 0.2500 0.3595
0.1955 0.7500 0.3885
0.3045 0.2500 0.8885
0.3042 0.7500 0.8595
0.4401 0.5371 0.1951
0.4401 0.9629 0.1951
0.4973 0.7500 0.5292
0.5027 0.2500 0.4708
0.5599 0.0371 0.8049
0.5599 0.4629 0.8049
0.6958 0.2500 0.1405
0.6955 0.7500 0.1115
0.8045 0.2500 0.6115
0.8042 0.7500 0.6405
0.9401 0.5371 0.3049
0.9401 0.9629 0.3049
0.9973 0.7500 0.9708
0.1777 0.5124 0.0854
0.1777 0.9876 0.0854
0.3223 0.0124 0.5854
0.3223 0.4876 0.5854
0.6777 0.5124 0.4146
0.6777 0.9876 0.4146
0.8223 0.0124 0.9146
0.8223 0.4876 0.9146
0.0188 0.7500 0.5736
0.4812 0.2500 0.0736
0.5188 0.7500 0.9264
0.9812 0.2500 0.4264
```



[6]
Theoretical X-ray diffraction stick pattern
Compound: Th4Bi5Ru2
Radiation: copper Kα
Structure: a PBE-relaxed structure

Main lines, sorted by position (10 to 80 degrees two-theta):
2θ 30.3, 2.951 Å, rel. 67
2θ 30.9, 2.892 Å, rel. 43
2θ 31.4, 2.853 Å, rel. 100
2θ 31.5, 2.840 Å, rel. 97
2θ 33.5, 2.675 Å, rel. 55
2θ 34.2, 2.621 Å, rel. 42
2θ 35.6, 2.525 Å, rel. 35
2θ 35.7, 2.517 Å, rel. 38
2θ 44.7, 2.029 Å, rel. 47
2θ 62.2, 1.492 Å, rel. 30

```
Th4Bi5Ru2
1.0
8.0558 0.0000 0.0000
0.0000 4.0577 0.0000
-0.8541 0.0000 9.6253
Th Bi Ru
4 5 2
Direct
0.2077 0.0000 0.3431
0.2079 0.0000 0.9352
0.7921 0.0000 0.0648
0.7923 0.0000 0.6569
0.1315 0.5000 0.6447
0.4635 0.5000 0.1629
0.5000 0.5000 0.5000
0.5365 0.5000 0.8371
0.8685 0.5000 0.3553
0.1025 0.5000 0.1347
0.8975 0.5000 0.8653
```



[7]
Theoretical X-ray diffraction stick pattern
Compound: Th4Bi8Ru3
Radiation: copper Kα
Structure: a PBE-relaxed structure

Main lines, sorted by position (10 to 80 degrees two-theta):
2θ 28.1, 3.176 Å, rel. 24
2θ 28.7, 3.115 Å, rel. 35
2θ 33.1, 2.710 Å, rel. 100
2θ 34.2, 2.625 Å, rel. 11
2θ 38.6, 2.330 Å, rel. 50
2θ 39.4, 2.287 Å, rel. 8
2θ 48.4, 1.879 Å, rel. 23
2θ 55.8, 1.649 Å, rel. 29
2θ 63.6, 1.463 Å, rel. 10
2θ 66.4, 1.408 Å, rel. 28

```
Th4Bi8Ru3
1.0
4.6605 0.0000 0.0000
0.0000 4.6605 0.0000
0.0000 0.0000 19.0588
Th Bi Ru
4 8 3
Direct
0.0000 0.5000 0.1067
0.0000 0.5000 0.6089
0.5000 0.0000 0.3911
0.5000 0.0000 0.8933
0.0000 0.0000 0.2464
0.0000 0.0000 0.7536
0.0000 0.5000 0.4144
0.0000 0.5000 0.9238
0.5000 0.0000 0.0762
0.5000 0.0000 0.5856
0.5000 0.5000 0.2467
0.5000 0.5000 0.7533
0.0000 0.0000 0.0000
0.0000 0.0000 0.5000
0.5000 0.5000 0.5000
```



[8]
Theoretical X-ray diffraction stick pattern
Compound: Th3Bi2Ru2
Radiation: copper Kα
Structure: a PBE-relaxed structure

Main lines, sorted by position (10 to 80 degrees two-theta):
2θ 23.9, 3.726 Å, rel. 41
2θ 28.7, 3.106 Å, rel. 51
2θ 30.0, 2.975 Å, rel. 41
2θ 31.7, 2.819 Å, rel. 100
2θ 32.3, 2.769 Å, rel. 68
2θ 34.5, 2.600 Å, rel. 26
2θ 37.1, 2.426 Å, rel. 33
2θ 37.2, 2.416 Å, rel. 33
2θ 45.7, 1.986 Å, rel. 32
2θ 57.0, 1.616 Å, rel. 24

```
Th3Bi2Ru2
1.0
3.9716 0.0000 0.0000
-1.9780 6.0036 0.0000
-1.9541 -1.8724 8.3893
Th Bi Ru
3 2 2
Direct
0.0000 0.0000 0.0000
0.4098 0.6232 0.1997
0.5902 0.3768 0.8003
0.2718 0.1567 0.3902
0.7282 0.8433 0.6098
0.2778 0.7077 0.8454
0.7222 0.2923 0.1546
```